[1]
Sr6Al7ClO16: theoretical powder diffraction line list (Cu Kα X-rays), based on a DFT-relaxed cell (GGA-PBE, Alexandria).
Kinematic intensities with the Lorentz-polarization factor, no thermal factor.

Principal peaks in the range 2θ = 10–90°, sorted by position:
17.4°, rel. 62; 26.8°, rel. 28; 32.1°, rel. 100; 35.3°, rel. 28; 39.6°, rel. 28; 53.0°, rel. 25

Structure:
```
data_Sr6Al7ClO16
_cell_length_a 12.465
_cell_length_b 12.465
_cell_length_c 12.479
_cell_angle_alpha 90.00
_cell_angle_beta 90.00
_cell_angle_gamma 90.00
_symmetry_space_group_name_H-M 'I -4 2 d'
_symmetry_Int_Tables_number 122
_symmetry_space_group_name_Hall 'I -4 2bw'
loop_
_atom_site_label
_atom_site_fract_x
_atom_site_fract_y
_atom_site_fract_z
Sr1 0.000 0.000 0.229
Sr2 0.109 0.750 0.625
Sr3 0.136 0.250 0.125
Al1 0.000 0.000 0.500
Al2 0.015 0.234 0.359
Al3 0.127 0.750 0.125
Cl1 0.000 0.000 0.000
O1 0.040 0.705 0.021
O2 0.044 0.103 0.412
O3 0.067 0.690 0.443
O4 0.148 0.217 0.918
```

---

[2]
LiPuIn5: theoretical powder diffraction line list (Cu Kα X-rays), based on a DFT-relaxed cell (GGA-PBE, Alexandria).
Kinematic intensities with the Lorentz-polarization factor, no thermal factor.

Principal peaks in the range 2θ = 10–90°, sorted by position:
11.1°, rel. 27; 29.3°, rel. 72; 35.3°, rel. 100; 38.5°, rel. 49; 52.2°, rel. 31; 67.6°, rel. 29

Structure:
```
data_LiPuIn5
_cell_length_a 4.674
_cell_length_b 4.674
_cell_length_c 7.955
_cell_angle_alpha 90.00
_cell_angle_beta 90.00
_cell_angle_gamma 90.00
_symmetry_space_group_name_H-M 'P 4/m m m'
_symmetry_Int_Tables_number 123
_symmetry_space_group_name_Hall '-P 4 2'
loop_
_atom_site_label
_atom_site_fract_x
_atom_site_fract_y
_atom_site_fract_z
Li1 0.000 0.000 0.000
Pu1 0.500 0.500 0.500
In1 0.000 0.000 0.500
In2 0.000 0.500 0.201
```

---

[3]
LiTi4F12: theoretical powder diffraction line list (Cu Kα X-rays), based on a DFT-relaxed cell (GGA-PBE, Alexandria).
Kinematic intensities with the Lorentz-polarization factor, no thermal factor.

Principal peaks in the range 2θ = 10–90°, sorted by position:
22.8°, rel. 100; 23.0°, rel. 49; 32.5°, rel. 26; 46.5°, rel. 26; 52.4°, rel. 25; 57.9°, rel. 17

Structure:
```
data_LiTi4F12
_cell_length_a 7.750
_cell_length_b 7.810
_cell_length_c 7.816
_cell_angle_alpha 90.00
_cell_angle_beta 90.00
_cell_angle_gamma 90.00
_symmetry_space_group_name_H-M 'I m m m'
_symmetry_Int_Tables_number 71
_symmetry_space_group_name_Hall '-I 2 2'
loop_
_atom_site_label
_atom_site_fract_x
_atom_site_fract_y
_atom_site_fract_z
Li1 0.000 0.000 0.000
Ti1 0.250 0.250 0.250
F1 0.000 0.185 0.186
F2 0.204 0.253 0.500
F3 0.204 0.500 0.242
```

---

[4]
La15Tb4Sc: theoretical powder diffraction line list (Cu Kα X-rays), based on a DFT-relaxed cell (GGA-PBE, Alexandria).
Kinematic intensities with the Lorentz-polarization factor, no thermal factor.

Principal peaks in the range 2θ = 10–90°, sorted by position:
29.8°, rel. 100; 34.5°, rel. 51; 49.7°, rel. 36; 59.0°, rel. 14; 59.0°, rel. 29; 61.9°, rel. 12

Structure:
```
data_La15Tb4Sc
_cell_length_a 5.191
_cell_length_b 5.191
_cell_length_c 25.974
_cell_angle_alpha 90.00
_cell_angle_beta 90.00
_cell_angle_gamma 90.00
_symmetry_space_group_name_H-M 'P 4/m m m'
_symmetry_Int_Tables_number 123
_symmetry_space_group_name_Hall '-P 4 2'
loop_
_atom_site_label
_atom_site_fract_x
_atom_site_fract_y
_atom_site_fract_z
La1 0.000 0.000 0.000
La2 0.000 0.000 0.198
La3 0.000 0.000 0.399
La4 0.000 0.500 0.097
La5 0.000 0.500 0.299
La6 0.000 0.500 0.500
Tb1 0.500 0.500 0.198
Tb2 0.500 0.500 0.399
Sc1 0.500 0.500 0.000
```

---

[5]
K2CdSe2O10: theoretical powder diffraction line list (Cu Kα X-rays), based on a DFT-relaxed cell (GGA-PBE, Alexandria).
Kinematic intensities with the Lorentz-polarization factor, no thermal factor.

Principal peaks in the range 2θ = 10–90°, sorted by position:
12.0°, rel. 81; 16.2°, rel. 100; 25.2°, rel. 85; 25.5°, rel. 84; 27.7°, rel. 56; 29.1°, rel. 60

Structure:
```
data_K2CdSe2O10
_cell_length_a 5.336
_cell_length_b 7.037
_cell_length_c 7.619
_cell_angle_alpha 76.64
_cell_angle_beta 82.67
_cell_angle_gamma 70.89
_symmetry_space_group_name_H-M 'P -1'
_symmetry_Int_Tables_number 2
loop_
_symmetry_equiv_pos_as_xyz
'x,y,z'
'-x,-y,-z'
loop_
_atom_site_label
_atom_site_fract_x
_atom_site_fract_y
_atom_site_fract_z
K1 0.174 0.157 0.184
Cd1 0.500 0.500 0.500
Se1 0.152 0.232 0.685
O1 0.156 0.759 0.356
O2 0.163 0.439 0.756
O3 0.268 0.018 0.836
O4 0.343 0.236 0.489
O5 0.408 0.503 0.058
```

---

[6]
Sr4As: theoretical powder diffraction line list (Cu Kα X-rays), based on a DFT-relaxed cell (GGA-PBE, Alexandria).
Kinematic intensities with the Lorentz-polarization factor, no thermal factor.

Principal peaks in the range 2θ = 10–90°, sorted by position:
16.6°, rel. 19; 23.6°, rel. 51; 33.7°, rel. 100; 48.3°, rel. 18; 54.5°, rel. 20; 60.2°, rel. 37

Structure:
```
data_Sr4As
_cell_length_a 7.533
_cell_length_b 7.533
_cell_length_c 7.533
_cell_angle_alpha 90.00
_cell_angle_beta 90.00
_cell_angle_gamma 90.00
_symmetry_space_group_name_H-M 'I m -3 m'
_symmetry_Int_Tables_number 229
_symmetry_space_group_name_Hall '-I 4 2 3'
loop_
_atom_site_label
_atom_site_fract_x
_atom_site_fract_y
_atom_site_fract_z
Sr1 0.250 0.250 0.250
As1 0.000 0.000 0.000
```

---

[7]
Zr4ZnC2: theoretical powder diffraction line list (Cu Kα X-rays), based on a DFT-relaxed cell (GGA-PBE, Alexandria).
Kinematic intensities with the Lorentz-polarization factor, no thermal factor.

Principal peaks in the range 2θ = 10–90°, sorted by position:
33.9°, rel. 87; 34.9°, rel. 34; 35.5°, rel. 84; 36.1°, rel. 100; 38.5°, rel. 32; 53.5°, rel. 49

Structure:
```
data_Zr4ZnC2
_cell_length_a 3.425
_cell_length_b 11.385
_cell_length_c 11.935
_cell_angle_alpha 90.00
_cell_angle_beta 90.00
_cell_angle_gamma 90.00
_symmetry_space_group_name_H-M 'C m c m'
_symmetry_Int_Tables_number 63
_symmetry_space_group_name_Hall '-C 2c 2'
loop_
_atom_site_label
_atom_site_fract_x
_atom_site_fract_y
_atom_site_fract_z
Zr1 0.000 0.000 0.000
Zr2 0.000 0.261 0.107
Zr3 0.000 0.426 0.750
Zn1 0.000 0.112 0.750
C1 0.000 0.364 0.560
```

---

[8]
Rb6O: theoretical powder diffraction line list (Cu Kα X-rays), based on a DFT-relaxed cell (GGA-PBE, Alexandria).
Kinematic intensities with the Lorentz-polarization factor, no thermal factor.

Principal peaks in the range 2θ = 10–90°, sorted by position:
12.5°, rel. 19; 22.5°, rel. 75; 24.6°, rel. 100; 27.7°, rel. 26; 35.5°, rel. 23; 38.2°, rel. 20

Structure:
```
data_Rb6O
_cell_length_a 15.755
_cell_length_b 14.139
_cell_length_c 8.165
_cell_angle_alpha 90.00
_cell_angle_beta 90.00
_cell_angle_gamma 90.00
_symmetry_space_group_name_H-M 'P n m a'
_symmetry_Int_Tables_number 62
loop_
_symmetry_equiv_pos_as_xyz
'x,y,z'
'-x,-y,-z'
'-x+1/2,-y,z+1/2'
'x+1/2,y,-z+1/2'
'x+1/2,-y+1/2,-z+1/2'
'-x+1/2,y+1/2,z+1/2'
'-x,y+1/2,-z'
'x,-y+1/2,z'
loop_
_atom_site_label
_atom_site_fract_x
_atom_site_fract_y
_atom_site_fract_z
Rb1 0.005 0.250 0.157
Rb2 0.027 0.108 0.736
Rb3 0.220 0.109 0.058
Rb4 0.237 0.250 0.635
O1 0.123 0.250 0.897
```

---

[9]
Ho4CuNi: theoretical powder diffraction line list (Cu Kα X-rays), based on a DFT-relaxed cell (GGA-PBE, Alexandria).
Kinematic intensities with the Lorentz-polarization factor, no thermal factor.

Principal peaks in the range 2θ = 10–90°, sorted by position:
27.0°, rel. 32; 30.1°, rel. 100; 30.3°, rel. 29; 38.6°, rel. 26; 47.6°, rel. 29; 49.7°, rel. 25

Structure:
```
data_Ho4CuNi
_cell_length_a 12.092
_cell_length_b 9.335
_cell_length_c 7.704
_cell_angle_alpha 90.00
_cell_angle_beta 129.47
_cell_angle_gamma 90.00
_symmetry_space_group_name_H-M 'C 1 m 1'
_symmetry_Int_Tables_number 8
loop_
_symmetry_equiv_pos_as_xyz
'x,y,z'
'x,-y,z'
'x+1/2,y+1/2,z'
'x+1/2,-y+1/2,z'
loop_
_atom_site_label
_atom_site_fract_x
_atom_site_fract_y
_atom_site_fract_z
Ho1 0.000 0.000 0.000
Ho2 0.010 0.000 0.497
Ho3 0.211 0.298 0.949
Ho4 0.212 0.288 0.462
Ho5 0.413 0.000 0.900
Ho6 0.423 0.000 0.423
Cu1 0.212 0.000 0.960
Cu2 0.212 0.500 0.210
Ni1 0.212 0.000 0.450
Ni2 0.212 0.500 0.700
```

---

[10]
RbCu4Cl7: theoretical powder diffraction line list (Cu Kα X-rays), based on a DFT-relaxed cell (GGA-PBE, Alexandria).
Kinematic intensities with the Lorentz-polarization factor, no thermal factor.

Principal peaks in the range 2θ = 10–90°, sorted by position:
22.2°, rel. 73; 23.0°, rel. 100; 26.8°, rel. 61; 28.2°, rel. 74; 28.5°, rel. 98; 49.1°, rel. 53

Structure:
```
data_RbCu4Cl7
_cell_length_a 15.635
_cell_length_b 6.321
_cell_length_c 6.261
_cell_angle_alpha 90.00
_cell_angle_beta 90.00
_cell_angle_gamma 90.00
_symmetry_space_group_name_H-M 'P m n 21'
_symmetry_Int_Tables_number 31
loop_
_symmetry_equiv_pos_as_xyz
'x,y,z'
'-x+1/2,-y,z+1/2'
'-x,y,z'
'x+1/2,-y,z+1/2'
loop_
_atom_site_label
_atom_site_fract_x
_atom_site_fract_y
_atom_site_fract_z
Rb1 0.000 0.201 0.000
Cu1 0.120 0.669 0.566
Cu2 0.250 0.180 0.546
Cl1 0.000 0.822 0.434
Cl2 0.120 0.318 0.487
Cl3 0.120 0.719 0.929
Cl4 0.240 0.829 0.419
```